Entry 1:
The following is a theoretical PXRD pattern of CrNi2Hg. It was derived from the PBE geometry in Alexandria, using Cu Kα (λ = 1.5418 Å).

Peak list (8 most intense, 2θ from 10° to 90°, low angle first)
| 2theta | Rel. int. |
| --- | --- |
| 22.36 | 16 |
| 26.22 | 39 |
| 40.83 | 100 |
| 45.64 | 18 |
| 48.42 | 30 |
| 68.73 | 20 |
| 81.09 | 13 |
| 85.19 | 23 |

Cell and atoms:
Cell: 4.782 4.782 4.782 Å, 133.71 133.71 67.54°
Atoms (fractional coordinates):
Cr1 0.000 0.000 0.000
Ni1 0.500 0.500 0.000
Ni2 0.750 0.250 0.500
Hg1 0.250 0.750 0.500

Entry 2:
The following is a theoretical PXRD pattern of Tc3Cl5. It was derived from the PBE geometry in Alexandria, using Cu Kα (λ = 1.5418 Å).

Peak list (8 most intense, 2θ from 10° to 90°, low angle first)
| 2theta | Rel. int. |
| --- | --- |
| 12.53 | 100 |
| 20.29 | 29 |
| 29.86 | 28 |
| 38.80 | 27 |
| 39.01 | 21 |
| 39.26 | 93 |
| 41.26 | 22 |
| 49.06 | 23 |

Cell and atoms:
Cell: 7.414 7.414 3.019 Å, 90.00 90.00 107.64°
Atoms (fractional coordinates):
Tc1 0.000 0.000 0.000
Tc2 0.194 0.806 0.500
Tc3 0.806 0.194 0.500
Cl1 0.000 0.500 0.000
Cl2 0.210 0.210 0.500
Cl3 0.500 0.000 0.000
Cl4 0.500 0.500 0.000
Cl5 0.790 0.790 0.500

Entry 3:
The following is a theoretical PXRD pattern of InGa2Se3. It was derived from the PBE geometry in Alexandria, using Cu Kα (λ = 1.5418 Å).

Peak list (8 most intense, 2θ from 10° to 90°, low angle first)
| 2theta | Rel. int. |
| --- | --- |
| 10.20 | 87 |
| 12.97 | 74 |
| 21.34 | 73 |
| 24.32 | 100 |
| 27.26 | 67 |
| 31.05 | 68 |
| 39.48 | 88 |
| 51.04 | 64 |

Cell and atoms:
Cell: 9.565 9.565 8.765 Å, 98.18 98.18 27.61°
Atoms (fractional coordinates):
In1 0.183 0.183 0.484
In2 0.817 0.817 0.516
Ga1 0.206 0.206 0.877
Ga2 0.448 0.448 0.325
Ga3 0.552 0.552 0.675
Ga4 0.794 0.794 0.123
Se1 0.072 0.072 0.808
Se2 0.241 0.241 0.173
Se3 0.415 0.415 0.591
Se4 0.585 0.585 0.409
Se5 0.759 0.759 0.827
Se6 0.928 0.928 0.192

Entry 4:
The following is a theoretical PXRD pattern of TiMnP2Cl. It was derived from the PBE geometry in Alexandria, using Cu Kα (λ = 1.5418 Å).

Peak list (8 most intense, 2θ from 10° to 90°, low angle first)
| 2theta | Rel. int. |
| --- | --- |
| 26.49 | 41 |
| 26.68 | 60 |
| 32.75 | 85 |
| 37.81 | 100 |
| 38.38 | 48 |
| 54.54 | 31 |
| 54.97 | 61 |
| 68.65 | 30 |

Cell and atoms:
Cell: 4.759 4.759 4.691 Å, 90.00 90.00 90.00°
Atoms (fractional coordinates):
Ti1 0.000 0.000 0.000
Mn1 0.500 0.500 0.500
P1 0.000 0.500 0.000
P2 0.500 0.000 0.000
Cl1 0.000 0.000 0.500

Entry 5:
The following is a theoretical PXRD pattern of Zn5B4Rh8. It was derived from the PBE geometry in Alexandria, using Cu Kα (λ = 1.5418 Å).

Peak list (8 most intense, 2θ from 10° to 90°, low angle first)
| 2theta | Rel. int. |
| --- | --- |
| 31.19 | 25 |
| 37.80 | 62 |
| 38.00 | 36 |
| 41.34 | 93 |
| 44.84 | 74 |
| 45.27 | 100 |
| 78.45 | 26 |
| 80.06 | 25 |

Cell and atoms:
Cell: 9.550 9.550 2.868 Å, 90.00 90.00 127.05°
Atoms (fractional coordinates):
Zn1 0.000 0.000 0.000
Zn2 0.197 0.803 0.000
Zn3 0.354 0.354 0.000
Zn4 0.646 0.646 0.000
Zn5 0.803 0.197 0.000
B1 0.156 0.467 0.000
B2 0.467 0.156 0.000
B3 0.533 0.844 0.000
B4 0.844 0.533 0.000
Rh1 0.000 0.500 0.500
Rh2 0.081 0.267 0.500
Rh3 0.267 0.081 0.500
Rh4 0.376 0.624 0.500
Rh5 0.500 0.000 0.500
Rh6 0.624 0.376 0.500
Rh7 0.733 0.919 0.500
Rh8 0.919 0.733 0.500

Entry 6:
The following is a theoretical PXRD pattern of BC3. It was derived from the PBE geometry in Alexandria, using Cu Kα (λ = 1.5418 Å).

Peak list (8 most intense, 2θ from 10° to 90°, low angle first)
| 2theta | Rel. int. |
| --- | --- |
| 13.46 | 37 |
| 41.18 | 47 |
| 43.19 | 100 |
| 43.42 | 54 |
| 71.43 | 12 |
| 71.67 | 26 |
| 73.94 | 14 |
| 74.81 | 23 |

Cell and atoms:
Cell: 4.382 2.564 6.576 Å, 90.00 90.51 90.00°
Atoms (fractional coordinates):
B1 0.000 0.000 0.000
B2 0.198 0.500 0.137
B3 0.585 0.500 0.008
C1 0.025 0.000 0.758
C2 0.196 0.500 0.374
C3 0.361 0.000 0.452
C4 0.364 0.000 0.690
C5 0.533 0.500 0.764
C6 0.662 0.000 0.129
C7 0.690 0.000 0.363
C8 0.858 0.500 0.441
C9 0.861 0.500 0.677

Entry 7:
The following is a theoretical PXRD pattern of Tb8Dy3Sc. It was derived from the PBE geometry in Alexandria, using Cu Kα (λ = 1.5418 Å).

Peak list (8 most intense, 2θ from 10° to 90°, low angle first)
| 2theta | Rel. int. |
| --- | --- |
| 20.13 | 20 |
| 23.29 | 21 |
| 33.17 | 100 |
| 39.11 | 11 |
| 47.62 | 18 |
| 59.26 | 38 |
| 69.63 | 12 |
| 79.33 | 16 |

Cell and atoms:
Cell: 9.355 9.355 9.355 Å, 131.80 131.80 70.54°
Atoms (fractional coordinates):
Tb1 0.123 0.123 0.492
Tb2 0.123 0.631 0.000
Tb3 0.369 0.369 0.492
Tb4 0.369 0.877 0.000
Tb5 0.631 0.123 0.000
Tb6 0.631 0.631 0.508
Tb7 0.877 0.369 0.000
Tb8 0.877 0.877 0.508
Dy1 0.250 0.750 0.500
Dy2 0.500 0.500 0.000
Dy3 0.750 0.250 0.500
Sc1 0.000 0.000 0.000

Entry 8:
The following is a theoretical PXRD pattern of PaMnFe2P2. It was derived from the PBE geometry in Alexandria, using Cu Kα (λ = 1.5418 Å).

Peak list (8 most intense, 2θ from 10° to 90°, low angle first)
| 2theta | Rel. int. |
| --- | --- |
| 26.35 | 45 |
| 29.92 | 82 |
| 38.87 | 100 |
| 46.51 | 57 |
| 62.17 | 25 |
| 64.78 | 19 |
| 64.92 | 19 |
| 81.08 | 23 |

Cell and atoms:
Cell: 3.905 3.905 6.362 Å, 90.00 90.00 120.00°
Atoms (fractional coordinates):
Pa1 0.000 0.000 0.000
Mn1 0.000 0.000 0.500
Fe1 0.333 0.667 0.642
Fe2 0.667 0.333 0.358
P1 0.333 0.667 0.278
P2 0.667 0.333 0.722

Entry 9:
The following is a theoretical PXRD pattern of La4TbNd2Mg. It was derived from the PBE geometry in Alexandria, using Cu Kα (λ = 1.5418 Å).

Peak list (8 most intense, 2θ from 10° to 90°, low angle first)
| 2theta | Rel. int. |
| --- | --- |
| 30.03 | 100 |
| 34.75 | 34 |
| 34.94 | 17 |
| 49.96 | 12 |
| 50.10 | 24 |
| 59.39 | 29 |
| 59.65 | 14 |
| 62.41 | 12 |

Cell and atoms:
Cell: 5.164 5.164 10.271 Å, 90.00 90.00 90.00°
Atoms (fractional coordinates):
La1 0.000 0.500 0.247
La2 0.000 0.500 0.753
La3 0.500 0.000 0.247
La4 0.500 0.000 0.753
Tb1 0.000 0.000 0.500
Nd1 0.000 0.000 0.000
Nd2 0.500 0.500 0.500
Mg1 0.500 0.500 0.000

Entry 10:
The following is a theoretical PXRD pattern of CeZn3Pt2. It was derived from the PBE geometry in Alexandria, using Cu Kα (λ = 1.5418 Å).

Peak list (8 most intense, 2θ from 10° to 90°, low angle first)
| 2theta | Rel. int. |
| --- | --- |
| 30.42 | 43 |
| 32.71 | 28 |
| 34.22 | 38 |
| 34.96 | 100 |
| 35.72 | 51 |
| 42.34 | 30 |
| 42.81 | 28 |
| 44.27 | 57 |

Cell and atoms:
Cell: 8.791 8.791 9.928 Å, 105.63 105.63 26.92°
Atoms (fractional coordinates):
Ce1 0.000 0.000 0.000
Ce2 0.166 0.166 0.719
Ce3 0.834 0.834 0.281
Zn1 0.046 0.046 0.352
Zn2 0.210 0.210 0.403
Zn3 0.327 0.327 0.029
Zn4 0.373 0.373 0.786
Zn5 0.500 0.500 0.500
Zn6 0.627 0.627 0.214
Zn7 0.673 0.673 0.971
Zn8 0.790 0.790 0.597
Zn9 0.954 0.954 0.648
Pt1 0.202 0.202 0.139
Pt2 0.361 0.361 0.519
Pt3 0.469 0.469 0.211
Pt4 0.531 0.531 0.789
Pt5 0.639 0.639 0.481
Pt6 0.798 0.798 0.861

Entry 11:
The following is a theoretical PXRD pattern of Li3Tl2Pb2. It was derived from the PBE geometry in Alexandria, using Cu Kα (λ = 1.5418 Å).

Peak list (8 most intense, 2θ from 10° to 90°, low angle first)
| 2theta | Rel. int. |
| --- | --- |
| 24.90 | 100 |
| 28.83 | 17 |
| 32.32 | 65 |
| 38.46 | 72 |
| 51.09 | 35 |
| 53.33 | 47 |
| 65.72 | 24 |
| 69.56 | 15 |

Cell and atoms:
Cell: 7.585 7.585 7.585 Å, 109.47 109.47 109.47°
Atoms (fractional coordinates):
Li1 0.145 0.895 0.250
Li2 0.250 0.145 0.895
Li3 0.355 0.605 0.750
Li4 0.605 0.750 0.355
Li5 0.750 0.355 0.605
Li6 0.895 0.250 0.145
Tl1 0.000 0.143 0.500
Tl2 0.143 0.500 0.000
Tl3 0.357 0.357 0.357
Tl4 0.500 0.000 0.143
Pb1 0.000 0.675 0.500
Pb2 0.500 0.000 0.675
Pb3 0.675 0.500 0.000
Pb4 0.825 0.825 0.825

Entry 12:
The following is a theoretical PXRD pattern of Pm2CdSeO3. It was derived from the PBE geometry in Alexandria, using Cu Kα (λ = 1.5418 Å).

Peak list (8 most intense, 2θ from 10° to 90°, low angle first)
| 2theta | Rel. int. |
| --- | --- |
| 24.64 | 63 |
| 28.65 | 100 |
| 28.95 | 84 |
| 30.16 | 56 |
| 34.64 | 89 |
| 36.99 | 59 |
| 50.53 | 73 |
| 51.93 | 50 |

Cell and atoms:
Cell: 7.435 7.435 7.435 Å, 58.15 58.15 58.15°
Atoms (fractional coordinates):
Pm1 0.000 0.000 0.000
Pm2 0.000 0.000 0.500
Pm3 0.000 0.500 0.000
Pm4 0.500 0.000 0.000
Cd1 0.411 0.411 0.411
Cd2 0.589 0.589 0.589
Se1 0.273 0.273 0.273
Se2 0.727 0.727 0.727
O1 0.190 0.762 0.762
O2 0.238 0.238 0.810
O3 0.238 0.810 0.238
O4 0.762 0.190 0.762
O5 0.762 0.762 0.190
O6 0.810 0.238 0.238

Q: Number 7 is which compound?
A: Tb8Dy3Sc